Calculated X-ray powder pattern
Compound: BaSn2O
Radiation: Cu Kα, 1.54184 Å
Structure: the PBE geometry in Alexandria
Neutral-atom scattering factors, no anomalous dispersion.

Structure:
a b c (Å): 5.752 5.752 15.581
angles (deg): 90.00 90.00 90.00
Positions (direct):
1 Ba 0.000 0.250 0.375
2 Ba 0.000 0.750 0.625
3 Ba 0.500 0.250 0.125
4 Ba 0.500 0.750 0.875
5 Sn 0.000 0.000 0.000
6 Sn 0.000 0.500 0.000
7 Sn 0.250 0.250 0.750
8 Sn 0.250 0.750 0.250
9 Sn 0.500 0.000 0.500
10 Sn 0.500 0.500 0.500
11 Sn 0.750 0.250 0.750
12 Sn 0.750 0.750 0.250
13 O 0.000 0.250 0.875
14 O 0.000 0.750 0.125
15 O 0.500 0.250 0.625
16 O 0.500 0.750 0.375

Top 10 peaks for 15 to 90 degrees two-theta, in order of rising 2θ:
2theta  I/Imax  hkl
23.07  100.0  1 0 3
24.69  47.2  1 1 2
32.68  42.0  1 0 5
33.20  58.0  2 0 2
35.36  68.2  2 1 1
47.15  22.3  2 0 6
50.63  45.7  2 2 4
54.52  20.3  2 1 7
58.12  16.9  3 2 1
64.88  23.3  4 0 0